# 1
Structure and calculated powder XRD pattern of Y6Tl3Bi (DFT lattice parameters and positions (PBE); copper Kα).
Lines closer than 0.1° are merged.

Largest 6 diffraction maxima, in order of falling intensity, 10 to 90 degrees two-theta:
d (Å)	two_theta	intensity	index
2.906	30.8	100	2 4 1
2.826	31.7	78	2 2 2
3.191	28.0	68	3 1 1
2.431	37.0	52	4 2 1
2.660	33.7	46	0 4 2
2.442	36.8	44	0 6 1

Structure:
```
data_Y6Tl3Bi
_cell_length_a 10.934
_cell_length_b 15.552
_cell_length_c 7.292
_cell_angle_alpha 90.00
_cell_angle_beta 90.00
_cell_angle_gamma 90.00
_symmetry_space_group_name_H-M 'C m c 21'
_symmetry_Int_Tables_number 36
loop_
_symmetry_equiv_pos_as_xyz
'x,y,z'
'-x,-y,z+1/2'
'-x,y,z'
'x,-y,z+1/2'
'x+1/2,y+1/2,z'
'-x+1/2,-y+1/2,z+1/2'
'-x+1/2,y+1/2,z'
'x+1/2,-y+1/2,z+1/2'
loop_
_atom_site_label
_atom_site_fract_x
_atom_site_fract_y
_atom_site_fract_z
_atom_site_occupancy
Y1 0.000 0.026 0.000 1
Y2 0.000 0.294 0.068 1
Y3 0.197 0.289 0.500 1
Y4 0.221 0.453 0.174 1
Tl1 0.000 0.451 0.460 1
Tl2 0.156 0.121 0.294 1
Bi1 0.000 0.168 0.710 1
```

=====

# 2
Structure and calculated powder XRD pattern of Tm3SiS2 (DFT lattice parameters and positions (PBE); copper Kα).
Lines closer than 0.1° are merged.

Largest 6 diffraction maxima, in order of falling intensity, 10 to 90 degrees two-theta:
d (Å)	two_theta	intensity	index
2.781	32.2	100	1 0 3
1.965	46.2	60	1 2 3
3.217	27.7	45	1 1 0
3.205	27.8	44	0 1 3
1.675	54.8	29	1 3 0
1.242	76.7	16	1 4 3

Structure:
```
data_Tm3SiS2
_cell_length_a 3.946
_cell_length_b 5.553
_cell_length_c 11.773
_cell_angle_alpha 90.00
_cell_angle_beta 90.00
_cell_angle_gamma 90.00
_symmetry_space_group_name_H-M 'I m m m'
_symmetry_Int_Tables_number 71
_symmetry_space_group_name_Hall '-I 2 2'
loop_
_atom_site_label
_atom_site_fract_x
_atom_site_fract_y
_atom_site_fract_z
_atom_site_occupancy
Tm1 0.000 0.000 0.000 1
Tm2 0.000 0.000 0.335 1
Si1 0.000 0.500 0.000 1
S1 0.000 0.500 0.333 1
```

=====

# 3
Structure and calculated powder XRD pattern of Ti27CuP16 (DFT lattice parameters and positions (PBE); copper Kα).
Lines closer than 0.1° are merged.

Largest 6 diffraction maxima, in order of falling intensity, 10 to 90 degrees two-theta:
d (Å)	two_theta	intensity	index
2.271	39.7	100	1 1 8
2.187	41.3	99	6 0 -8
2.409	37.3	94	1 1 -8
2.166	41.7	93	5 1 0
2.193	41.2	77	3 1 6
1.700	53.9	70	0 2 0

Structure:
```
data_Ti27CuP16
_cell_length_a 14.509
_cell_length_b 3.401
_cell_length_c 27.318
_cell_angle_alpha 90.00
_cell_angle_beta 104.56
_cell_angle_gamma 90.00
_symmetry_space_group_name_H-M 'C 1 m 1'
_symmetry_Int_Tables_number 8
loop_
_symmetry_equiv_pos_as_xyz
'x,y,z'
'x,-y,z'
'x+1/2,y+1/2,z'
'x+1/2,-y+1/2,z'
loop_
_atom_site_label
_atom_site_fract_x
_atom_site_fract_y
_atom_site_fract_z
_atom_site_occupancy
Ti1 0.000 0.000 0.000 1
Ti2 0.000 0.000 0.498 1
Ti3 0.090 0.000 0.398 1
Ti4 0.090 0.000 0.899 1
Ti5 0.157 0.000 0.232 1
Ti6 0.157 0.500 0.152 1
Ti7 0.157 0.500 0.651 1
Ti8 0.160 0.000 0.733 1
Ti9 0.160 0.500 0.482 1
Ti10 0.162 0.500 0.985 1
Ti11 0.163 0.500 0.314 1
Ti12 0.163 0.500 0.815 1
Ti13 0.230 0.000 0.567 1
Ti14 0.237 0.000 0.071 1
Ti15 0.321 0.000 0.466 1
Ti16 0.321 0.000 0.966 1
Ti17 0.338 0.500 0.252 1
Ti18 0.339 0.500 0.754 1
Ti19 0.355 0.500 0.636 1
Ti20 0.366 0.500 0.379 1
Ti21 0.367 0.500 0.880 1
Ti22 0.452 0.000 0.088 1
Ti23 0.454 0.000 0.586 1
Ti24 0.463 0.000 0.329 1
Ti25 0.465 0.000 0.830 1
Ti26 0.482 0.000 0.213 1
Ti27 0.482 0.000 0.712 1
Cu1 0.356 0.500 0.144 1
P1 0.025 0.000 0.154 1
P2 0.030 0.000 0.654 1
P3 0.031 0.000 0.284 1
P4 0.032 0.000 0.784 1
P5 0.098 0.500 0.558 1
P6 0.100 0.500 0.060 1
P7 0.221 0.500 0.908 1
P8 0.222 0.500 0.407 1
P9 0.287 0.000 0.180 1
P10 0.289 0.000 0.310 1
P11 0.289 0.000 0.682 1
P12 0.290 0.000 0.812 1
P13 0.339 0.500 0.036 1
P14 0.339 0.500 0.537 1
P15 0.482 0.000 0.428 1
P16 0.482 0.000 0.930 1
```

=====

# 4
Structure and calculated powder XRD pattern of La8CeY5 (DFT lattice parameters and positions (PBE); copper Kα).
Lines closer than 0.1° are merged.

Largest 6 diffraction maxima, in order of falling intensity, 10 to 90 degrees two-theta:
d (Å)	two_theta	intensity	index
2.927	30.5	100	2 -2 1
2.872	31.1	96	1 1 -3
2.762	32.4	93	0 3 -2
2.888	31.0	89	1 1 1
3.440	25.9	64	2 1 -1
2.777	32.2	51	2 2 -2

Structure:
```
data_La8CeY5
_cell_length_a 8.621
_cell_length_b 8.647
_cell_length_c 8.707
_cell_angle_alpha 112.86
_cell_angle_beta 115.23
_cell_angle_gamma 99.91
_symmetry_space_group_name_H-M 'P 1'
_symmetry_Int_Tables_number 1
loop_
_symmetry_equiv_pos_as_xyz
'x,y,z'
loop_
_atom_site_label
_atom_site_fract_x
_atom_site_fract_y
_atom_site_fract_z
_atom_site_occupancy
La1 0.000 0.000 0.000 1
La2 0.000 0.392 0.798 1
La3 0.393 0.507 0.309 1
La4 0.404 0.795 0.778 1
La5 0.509 0.154 0.274 1
La6 0.663 0.520 0.786 1
La7 0.797 0.310 0.095 1
La8 0.816 0.937 0.326 1
Ce1 0.474 0.609 0.055 1
Y1 0.130 0.770 0.289 1
Y2 0.177 0.333 0.503 1
Y3 0.269 0.128 0.781 1
Y4 0.615 0.985 0.598 1
Y5 0.901 0.661 0.546 1
```

=====

Please write out number 1 again, unchanged.
Structure and calculated powder XRD pattern of Y6Tl3Bi (DFT lattice parameters and positions (PBE); copper Kα).
Lines closer than 0.1° are merged.

Largest 6 diffraction maxima, in order of falling intensity, 10 to 90 degrees two-theta:
d (Å)	two_theta	intensity	index
2.906	30.8	100	2 4 1
2.826	31.7	78	2 2 2
3.191	28.0	68	3 1 1
2.431	37.0	52	4 2 1
2.660	33.7	46	0 4 2
2.442	36.8	44	0 6 1

Structure:
```
data_Y6Tl3Bi
_cell_length_a 10.934
_cell_length_b 15.552
_cell_length_c 7.292
_cell_angle_alpha 90.00
_cell_angle_beta 90.00
_cell_angle_gamma 90.00
_symmetry_space_group_name_H-M 'C m c 21'
_symmetry_Int_Tables_number 36
loop_
_symmetry_equiv_pos_as_xyz
'x,y,z'
'-x,-y,z+1/2'
'-x,y,z'
'x,-y,z+1/2'
'x+1/2,y+1/2,z'
'-x+1/2,-y+1/2,z+1/2'
'-x+1/2,y+1/2,z'
'x+1/2,-y+1/2,z+1/2'
loop_
_atom_site_label
_atom_site_fract_x
_atom_site_fract_y
_atom_site_fract_z
_atom_site_occupancy
Y1 0.000 0.026 0.000 1
Y2 0.000 0.294 0.068 1
Y3 0.197 0.289 0.500 1
Y4 0.221 0.453 0.174 1
Tl1 0.000 0.451 0.460 1
Tl2 0.156 0.121 0.294 1
Bi1 0.000 0.168 0.710 1
```